Calculated powder XRD pattern
Compound: NdZnPO
Radiation: Cu Kα
Structure: the GGA-PBE geometry in the Materials Project
Peak positions follow from Bragg's law for the DFT cell and can differ from measured ones.

Most intense lines, 2θ from 10° to 90°, by angle:
| 2θ (°) | I/Imax |
| --- | --- |
| 28.17 | 100.0 |
| 29.47 | 79.4 |
| 34.47 | 33.5 |
| 38.82 | 45.3 |
| 45.32 | 77.7 |
| 58.16 | 46.7 |

Cell lengths 10.661, 10.661, 10.661 Å; angles 21.64, 21.64, 21.64 degrees
Positions (direct):
1 Nd 0.119 0.119 0.119
2 Nd 0.881 0.881 0.881
3 Zn 0.304 0.304 0.304
4 Zn 0.696 0.696 0.696
5 P 0.386 0.386 0.386
6 P 0.614 0.614 0.614
7 O 0.195 0.195 0.195
8 O 0.805 0.805 0.805



Calculated powder XRD pattern
Compound: SrSn3
Radiation: Cu Kα
Structure: the GGA-PBE geometry in the Materials Project
Peak positions follow from Bragg's law for the DFT cell and can differ from measured ones.

Most intense lines, 2θ from 10° to 90°, by angle:
| 2θ (°) | I/Imax |
| --- | --- |
| 28.83 | 19.4 |
| 33.38 | 100.0 |
| 44.64 | 12.0 |
| 51.09 | 14.1 |
| 59.61 | 15.7 |
| 62.40 | 26.2 |

Cell lengths 7.150, 7.150, 5.376 Å; angles 90.00, 90.00, 120.00 degrees
Positions (direct):
1 Sr 0.333 0.667 0.250
2 Sr 0.667 0.333 0.750
3 Sn 0.150 0.299 0.750
4 Sn 0.150 0.850 0.750
5 Sn 0.299 0.150 0.250
6 Sn 0.701 0.850 0.750
7 Sn 0.850 0.150 0.250
8 Sn 0.850 0.701 0.250



Repeat the first record exactly.
Calculated powder XRD pattern
Compound: NdZnPO
Radiation: Cu Kα
Structure: the GGA-PBE geometry in the Materials Project
Peak positions follow from Bragg's law for the DFT cell and can differ from measured ones.

Most intense lines, 2θ from 10° to 90°, by angle:
| 2θ (°) | I/Imax |
| --- | --- |
| 28.17 | 100.0 |
| 29.47 | 79.4 |
| 34.47 | 33.5 |
| 38.82 | 45.3 |
| 45.32 | 77.7 |
| 58.16 | 46.7 |

Cell lengths 10.661, 10.661, 10.661 Å; angles 21.64, 21.64, 21.64 degrees
Positions (direct):
1 Nd 0.119 0.119 0.119
2 Nd 0.881 0.881 0.881
3 Zn 0.304 0.304 0.304
4 Zn 0.696 0.696 0.696
5 P 0.386 0.386 0.386
6 P 0.614 0.614 0.614
7 O 0.195 0.195 0.195
8 O 0.805 0.805 0.805